1.
For Na2NpZnF8, a crystal structure in Alexandria, relaxed with GGA-PBE gives the calculated powder diffraction line list in this record (Cu Kα (λ = 1.5418 Å)).

Principal peaks in the range 2θ = 10–80°, in order of rising 2θ:
two_theta	Rel. int.
11.7	52
16.3	77
20.0	34
22.2	34
23.4	29
25.1	20
26.5	41
28.7	100
35.7	26
45.5	38
48.2	28
55.6	21

Atomic structure:
Cell lengths 4.021, 7.593, 5.471 Å; angles 90.00, 94.57, 90.00 degrees
Element x y z (fractional)
1 Na 0.000 0.227 0.000
2 Na 0.000 0.773 0.000
3 Np 0.500 0.500 0.500
4 Zn 0.500 0.000 0.500
5 F 0.016 0.500 0.268
6 F 0.116 0.000 0.276
7 F 0.447 0.264 0.733
8 F 0.447 0.736 0.733
9 F 0.553 0.264 0.267
10 F 0.553 0.736 0.267
11 F 0.884 0.000 0.724
12 F 0.984 0.500 0.732


2.
For NaOF, a crystal structure in Alexandria, relaxed with GGA-PBE gives the calculated powder diffraction line list in this record (Cu Kα (λ = 1.5418 Å)).

Principal peaks in the range 2θ = 10–80°, in order of rising 2θ:
two_theta	Rel. int.
27.7	21
29.1	24
29.8	100
39.4	91
39.7	73
40.0	21
40.1	42
41.7	21
52.1	29
54.4	18
55.1	23
56.8	27

Atomic structure:
Cell lengths 3.241, 3.247, 9.065 Å; angles 83.04, 89.13, 89.90 degrees
Element x y z (fractional)
1 Na 0.242 0.205 0.130
2 Na 0.758 0.795 0.870
3 O 0.071 0.951 0.441
4 O 0.929 0.049 0.559
5 F 0.259 0.297 0.868
6 F 0.741 0.703 0.132


3.
For Na4O3F4, a crystal structure in Alexandria, relaxed with GGA-PBE gives the calculated powder diffraction line list in this record (Cu Kα (λ = 1.5418 Å)).

Principal peaks in the range 2θ = 10–80°, in order of rising 2θ:
two_theta	Rel. int.
17.2	99
19.9	28
25.2	23
33.8	100
34.8	22
40.5	27
43.5	39
44.2	41
47.1	23
53.7	23
63.8	22
65.6	26

Atomic structure:
Cell lengths 8.919, 5.567, 5.567 Å; angles 43.87, 90.00, 90.00 degrees
Element x y z (fractional)
1 Na 0.000 0.000 0.000
2 Na 0.249 0.582 0.582
3 Na 0.500 0.002 0.002
4 Na 0.751 0.582 0.582
5 O 0.376 0.320 0.320
6 O 0.500 0.255 0.255
7 O 0.624 0.320 0.320
8 F 0.000 0.583 0.583
9 F 0.251 0.997 0.997
10 F 0.500 0.607 0.607
11 F 0.749 0.997 0.997


4.
For Na7O2F2, a crystal structure in Alexandria, relaxed with GGA-PBE gives the calculated powder diffraction line list in this record (Cu Kα (λ = 1.5418 Å)).

Principal peaks in the range 2θ = 10–80°, in order of rising 2θ:
two_theta	Rel. int.
15.4	71
21.6	24
26.3	29
27.1	100
31.2	81
34.2	38
43.7	78
44.0	93
44.1	93
45.7	60
47.4	39
65.0	34

Atomic structure:
Cell lengths 5.742, 5.742, 5.895 Å; angles 90.16, 90.16, 87.60 degrees
Element x y z (fractional)
1 Na 0.000 0.000 0.000
2 Na 0.001 0.501 0.243
3 Na 0.499 0.999 0.757
4 Na 0.500 0.500 0.234
5 Na 0.500 0.500 0.766
6 Na 0.501 0.001 0.243
7 Na 0.999 0.499 0.757
8 O 0.274 0.274 0.000
9 O 0.726 0.726 0.000
10 F 0.292 0.708 0.500
11 F 0.708 0.292 0.500


5.
For NaPOF6, a crystal structure in Alexandria, relaxed with GGA-PBE gives the calculated powder diffraction line list in this record (Cu Kα (λ = 1.5418 Å)).

Principal peaks in the range 2θ = 10–80°, in order of rising 2θ:
two_theta	Rel. int.
17.0	25
17.2	27
17.8	100
19.3	39
24.8	52
25.9	54
32.9	11
46.5	12
47.1	13
50.3	11
53.2	16
53.3	16

Atomic structure:
Cell lengths 5.918, 7.532, 7.547 Å; angles 75.05, 66.97, 66.98 degrees
Element x y z (fractional)
1 Na 0.000 0.000 0.000
2 Na 0.000 0.500 0.500
3 P 0.000 0.000 0.500
4 P 0.500 0.500 0.000
5 O 0.186 0.250 0.750
6 O 0.814 0.750 0.250
7 F 0.095 0.016 0.262
8 F 0.098 0.761 0.515
9 F 0.240 0.488 0.987
10 F 0.285 0.990 0.487
11 F 0.372 0.484 0.238
12 F 0.373 0.739 0.985
13 F 0.627 0.261 0.015
14 F 0.628 0.516 0.762
15 F 0.715 0.010 0.513
16 F 0.760 0.512 0.013
17 F 0.902 0.239 0.485
18 F 0.905 0.984 0.738